Record 1
Diffraction record for Li2MnPO4F. The powder diffraction line list is simulated, not measured: it uses a PBE+U-relaxed structure and Cu Kα.
Kinematic intensities with the Lorentz-polarization factor, no thermal factor.

Largest 10 diffraction maxima, in order of rising 2θ, 2θ = 5–70°:
d/Å  I (rel.)
5.129  55
4.972  28
3.567  34
3.471  28
3.409  70
3.393  93
3.329  100
2.487  45
2.290  25
2.139  33

Crystal structure
Cell lengths 5.4489, 5.4651, 7.5365 Å; angles 107.15, 106.66, 94.98 degrees
Space group P1 (No. 1)
One atom of each set of equivalent atoms:
Li: 0.0000 0.0000 0.0000
Li: 0.1324 0.9487 0.3612
Li: 0.5447 0.2018 0.6946
Li: 0.6827 0.6441 0.0156
Mn: 0.1293 0.4535 0.8375
Mn: 0.1501 0.4673 0.3600
P: 0.5066 0.1090 0.0769
P: 0.7628 0.7947 0.6082
O: 0.3402 0.1762 0.2154
O: 0.3900 0.8256 0.9343
O: 0.4723 0.7965 0.5053
O: 0.4825 0.3047 0.9593
O: 0.7879 0.6104 0.7359
O: 0.8006 0.1161 0.1815
O: 0.8789 0.0791 0.7599
O: 0.9120 0.7244 0.4610
F: 0.0408 0.6285 0.1182
F: 0.2224 0.2792 0.5718

***

Record 2
Diffraction record for Li5Mn4P4O16F. The powder diffraction line list is simulated, not measured: it uses a PBE+U-relaxed structure and Cu Kα.
Kinematic intensities with the Lorentz-polarization factor, no thermal factor.

Largest 10 diffraction maxima, in order of rising 2θ, 2θ = 5–70°:
d/Å  I (rel.)
7.891  72
4.773  37
3.627  100
3.529  55
3.041  47
2.670  35
2.640  54
2.409  81
2.056  70
1.813  29

Crystal structure
Cell lengths 11.1598, 11.1598, 5.2800 Å; angles 90.00, 90.00, 90.00 degrees
Space group I-4 (No. 82)
One atom of each set of equivalent atoms:
Li: 0.0000 0.0000 0.0000
Li: 0.0627 0.3920 0.5519
Mn: 0.1180 0.8341 0.5007
P: 0.0903 0.2551 0.0299
O: 0.0343 0.2385 0.3032
O: 0.0354 0.1645 0.8368
O: 0.0649 0.3844 0.9390
O: 0.2257 0.2308 0.0621
F: 0.0000 0.0000 0.5000

***

Record 3
Diffraction record for Li2MnVP2O8F2. The powder diffraction line list is simulated, not measured: it uses a PBE+U-relaxed structure and Cu Kα.
Kinematic intensities with the Lorentz-polarization factor, no thermal factor.

Largest 10 diffraction maxima, in order of rising 2θ, 2θ = 5–70°:
d/Å  I (rel.)
4.949  28
4.855  32
4.739  50
3.985  20
3.477  23
3.408  78
3.352  100
3.046  79
2.477  27
1.677  23

Crystal structure
Cell lengths 6.9123, 7.4240, 7.9812 Å; angles 87.10, 88.37, 62.85 degrees
Space group P-1 (No. 2)
One atom of each set of equivalent atoms:
Li: 0.2441 0.3123 0.3259
Li: 0.2538 0.6882 0.1745
Mn: 0.0000 0.5000 0.0000
Mn: 0.5000 0.0000 0.0000
V: 0.0000 0.0000 0.5000
V: 0.5000 0.5000 0.5000
P: 0.2181 0.2613 0.6626
P: 0.2812 0.7356 0.8403
O: 0.0083 0.3836 0.7678
O: 0.0922 0.8875 0.7328
O: 0.1710 0.1544 0.5179
O: 0.2219 0.5815 0.9412
O: 0.2788 0.4128 0.5605
O: 0.3379 0.8384 0.9826
O: 0.4078 0.1115 0.7719
O: 0.4896 0.6119 0.7322
F: 0.2297 0.2370 0.1094
F: 0.2658 0.7621 0.3997

***

Record 4
Diffraction record for Li2MnVP2O8F2. The powder diffraction line list is simulated, not measured: it uses a PBE+U-relaxed structure and Cu Kα.
Kinematic intensities with the Lorentz-polarization factor, no thermal factor.

Largest 10 diffraction maxima, in order of rising 2θ, 2θ = 5–70°:
d/Å  I (rel.)
4.955  26
4.882  43
4.767  50
3.986  21
3.481  24
3.417  79
3.348  100
3.063  79
2.475  27
1.674  38

Crystal structure
Cell lengths 5.2350, 7.4918, 14.9423 Å; angles 94.49, 92.01, 109.56 degrees
Space group P-1 (No. 2)
One atom of each set of equivalent atoms:
Li: 0.0635 0.4819 0.2946
Li: 0.2691 0.8505 0.0386
Li: 0.3973 0.8186 0.6279
Mn: 0.0000 0.5000 0.5000
Mn: 0.3332 0.3336 0.8334
V: 0.0000 0.0000 0.5000
V: 0.3332 0.8334 0.8334
P: 0.1057 0.0483 0.2864
P: 0.2300 0.2858 0.0461
P: 0.4422 0.3824 0.6193
O: 0.0138 0.1534 0.7630
O: 0.0459 0.8273 0.9172
O: 0.0936 0.8373 0.7203
O: 0.1408 0.2902 0.9455
O: 0.1937 0.0409 0.3859
O: 0.2416 0.4982 0.6112
O: 0.2799 0.5010 0.4171
O: 0.3257 0.1835 0.5710
O: 0.3476 0.4868 0.0959
O: 0.3809 0.1626 0.2494
O: 0.4280 0.1709 0.0529
O: 0.4730 0.6198 0.2797
F: 0.1607 0.7965 0.5253
F: 0.1742 0.5540 0.8079
F: 0.4919 0.1125 0.8585

***

Record 5
Diffraction record for Li2MnVP2O8F2. The powder diffraction line list is simulated, not measured: it uses a PBE+U-relaxed structure and Cu Kα.
Kinematic intensities with the Lorentz-polarization factor, no thermal factor.

Largest 10 diffraction maxima, in order of rising 2θ, 2θ = 5–70°:
d/Å  I (rel.)
4.952  26
4.886  44
4.765  51
3.476  24
3.423  79
3.362  100
3.063  78
2.472  26
1.675  21
1.651  25

Crystal structure
Cell lengths 5.2297, 10.4170, 10.5174 Å; angles 78.63, 83.06, 80.11 degrees
Space group P1 (No. 1)
One atom of each set of equivalent atoms:
Li: 0.0000 0.0000 0.0000
Li: 0.0022 0.1583 0.5366
Li: 0.3339 0.6655 0.6675
Li: 0.3360 0.8261 0.2034
Li: 0.6632 0.3319 0.3332
Li: 0.6705 0.4922 0.8711
Mn: 0.1692 0.4121 0.1013
Mn: 0.3360 0.7456 0.9348
Mn: 0.8338 0.7456 0.4356
V: 0.0007 0.0791 0.2683
V: 0.4991 0.0798 0.7692
V: 0.6643 0.4112 0.6035
P: 0.1484 0.3742 0.8024
P: 0.1816 0.4509 0.4027
P: 0.4836 0.0398 0.4677
P: 0.5179 0.1178 0.0699
P: 0.8172 0.7061 0.1333
P: 0.8545 0.7851 0.7366
O: 0.0279 0.4051 0.9383
O: 0.0582 0.7807 0.0839
O: 0.0817 0.7197 0.8236
O: 0.1139 0.6008 0.4017
O: 0.2150 0.2259 0.8025
O: 0.2589 0.1037 0.3808
O: 0.2775 0.0441 0.1167
O: 0.3034 0.4196 0.2672
O: 0.3603 0.0689 0.6030
O: 0.3888 0.4477 0.7535
O: 0.4083 0.3872 0.4887
O: 0.4483 0.2672 0.0698
O: 0.5528 0.8896 0.4689
O: 0.5891 0.7715 0.0468
O: 0.6121 0.7114 0.7852
O: 0.6418 0.0900 0.9341
O: 0.6971 0.7387 0.2687
O: 0.7246 0.1128 0.4209
O: 0.7428 0.0535 0.1567
O: 0.7871 0.9333 0.7351
O: 0.8867 0.5572 0.1353
O: 0.9221 0.4378 0.7162
O: 0.9420 0.3771 0.4521
O: 0.9735 0.7521 0.6013
F: 0.0753 0.8836 0.3287
F: 0.2634 0.9523 0.8696
F: 0.4158 0.5437 0.9979
F: 0.5936 0.6061 0.5421
F: 0.7338 0.2130 0.6652
F: 0.9259 0.2740 0.2089

***

Record 6
Diffraction record for Li2MnVP2O8F2. The powder diffraction line list is simulated, not measured: it uses a PBE+U-relaxed structure and Cu Kα.
Kinematic intensities with the Lorentz-polarization factor, no thermal factor.

Largest 10 diffraction maxima, in order of rising 2θ, 2θ = 5–70°:
d/Å  I (rel.)
4.923  83
4.770  71
3.977  26
3.491  27
3.446  85
3.349  100
3.336  31
3.059  100
2.615  26
2.464  34

Crystal structure
Cell lengths 5.2550, 5.3146, 7.4536 Å; angles 109.55, 105.13, 97.81 degrees
Space group P-1 (No. 2)
One atom of each set of equivalent atoms:
Li: 0.0833 0.4277 0.3123
Mn: 0.5000 0.5000 0.0000
V: 0.0000 0.0000 0.5000
P: 0.4472 0.1230 0.2612
O: 0.2413 0.7797 0.6198
O: 0.2845 0.1635 0.4110
O: 0.3559 0.3225 0.1573
O: 0.3642 0.8226 0.1094
F: 0.1191 0.3294 0.7547